Entry 1:
Diffraction record for LiSnPO4. The powder X-ray diffraction pattern is theoretical, not measured: it uses DFT lattice parameters and positions (GGA-PBE) and Cu Kα, 1.54184 Å.

Main lines, in order of falling intensity (5° ≤ 2θ ≤ 70°):
d 2.983, 30.0 deg, rel. 100, hkl 1 1 -3; d 3.009, 29.7 deg, rel. 95, hkl 2 1 0; d 5.264, 16.8 deg, rel. 73, hkl 0 2 1; d 3.139, 28.4 deg, rel. 54, hkl 0 4 0; d 4.154, 21.4 deg, rel. 52, hkl 1 0 -2; d 7.656, 11.6 deg, rel. 50, hkl 0 1 1; d 2.467, 36.4 deg, rel. 44, hkl 1 2 3; d 3.406, 26.2 deg, rel. 44, hkl 1 1 2

Atomic structure:
```
LiSnPO4
1.0
6.2823 0.0000 0.0000
0.0000 12.5572 0.0000
-1.6050 0.0000 9.6585
Li Sn P O
8 8 8 32
Cartesian
-0.2305 1.5927 1.5231 Li
-1.0330 4.6859 6.3524 Li
2.1808 7.9712 4.3616 Li
1.3784 10.8646 9.1909 Li
3.2990 1.6926 0.4676 Li
2.4965 4.5860 5.2969 Li
5.7103 7.8713 3.3061 Li
4.9078 10.9645 8.1354 Li
0.0888 1.8054 5.0041 Sn
0.8913 4.4732 0.1749 Sn
1.2567 7.3936 7.4104 Sn
2.0592 11.4421 2.5811 Sn
2.6182 1.1150 7.0774 Sn
3.4207 5.1636 2.2482 Sn
3.7860 8.0840 9.4837 Sn
4.5885 10.7518 4.6544 Sn
-0.5874 1.3877 8.3365 P
0.2151 4.8909 3.5073 P
2.0064 8.2286 1.4815 P
1.2039 10.6072 6.3108 P
3.4734 1.9500 3.3477 P
2.6709 4.3286 8.1770 P
4.4623 7.6662 6.1513 P
5.2647 11.1695 1.3220 P
-0.6410 6.6583 6.3818 O
0.1615 12.1775 1.5525 O
-0.9300 2.2636 9.5969 O
-0.1275 4.0150 4.7676 O
-0.4636 2.3165 7.0934 O
0.3389 3.9621 2.2641 O
1.1534 7.4698 0.3807 O
0.3509 11.3659 5.2100 O
1.1708 8.4353 2.7588 O
0.3683 10.4005 7.5880 O
0.7296 0.6138 8.6176 O
1.5320 5.6648 3.7884 O
1.6618 9.2547 5.7180 O
2.4643 9.5810 0.8888 O
2.2252 1.0790 2.9721 O
1.4227 5.1996 7.8013 O
3.2546 7.3576 1.8572 O
2.4521 11.4782 6.6865 O
2.2130 2.9761 8.7697 O
3.0155 3.3025 3.9405 O
3.1453 6.8924 5.8701 O
3.9478 11.9434 1.0409 O
4.3091 2.1567 2.0705 O
3.5066 4.1219 6.8997 O
4.3264 1.1912 4.4485 O
3.5239 5.0873 9.2778 O
4.3385 8.5951 7.3944 O
5.1410 10.2407 2.5652 O
4.8049 8.5422 4.8909 O
5.6073 10.2936 0.0617 O
4.5159 0.3797 8.1060 O
5.3183 5.8989 3.2768 O
```

=====

Entry 2:
Diffraction record for Li3SnP2O8. The powder X-ray diffraction pattern is theoretical, not measured: it uses DFT lattice parameters and positions (GGA-PBE) and Cu Kα, 1.54184 Å.

Main lines, in order of falling intensity (5° ≤ 2θ ≤ 70°):
d 3.728, 23.9 deg, rel. 100, hkl 2 -1 1; d 7.709, 11.5 deg, rel. 52, hkl 0 0 1; d 2.858, 31.3 deg, rel. 51, hkl 2 -1 2; d 2.343, 38.4 deg, rel. 24, hkl 0 3 1; d 4.259, 20.9 deg, rel. 21, hkl 1 1 0; d 2.459, 36.5 deg, rel. 20, hkl 3 0 0; d 1.864, 48.9 deg, rel. 19, hkl 2 2 2; d 2.053, 44.1 deg, rel. 19, hkl 2 2 1

Atomic structure:
```
Li3SnP2O8
1.0
8.5190 0.0000 0.0000
-4.2595 7.3777 0.0000
0.0000 0.0000 7.7090
Li Sn P O
9 3 6 24
Cartesian
0.0000 0.0000 0.0000 Li
-1.3080 2.5188 0.8578 Li
1.4681 2.1528 6.3652 Li
-1.4241 7.2511 0.8578 Li
0.0000 4.9184 7.4788 Li
2.7322 4.9855 0.8578 Li
4.2595 2.4592 0.5565 Li
5.9205 0.1950 6.3652 Li
5.3898 5.0298 6.3652 Li
0.0000 0.0000 3.8416 Sn
0.0000 4.9184 3.2175 Sn
4.2595 2.4592 4.0164 Sn
-1.2661 2.7376 5.5212 P
1.4866 2.3005 1.6843 P
-1.2555 7.1054 5.5212 P
2.5217 4.9123 5.5212 P
5.7834 0.1372 1.6843 P
5.5085 4.9399 1.6843 P
-0.1297 1.6805 5.3143 O
-1.3288 3.7680 4.3352 O
-1.0214 3.4688 6.8386 O
-2.7393 6.6497 5.3143 O
-1.5405 5.5366 1.8958 O
1.1721 1.3999 0.4546 O
0.2349 3.2753 1.8958 O
1.6740 1.3962 2.9262 O
-0.7447 6.5278 6.8386 O
-0.3319 6.6444 4.3352 O
3.0609 1.2821 5.5929 O
1.6607 4.3429 4.3352 O
1.7661 4.7587 6.8386 O
2.7205 3.1565 1.3851 O
1.3056 5.9435 1.8958 O
4.4251 0.7778 1.3851 O
3.8394 4.0858 5.5929 O
2.8690 6.4251 5.3143 O
6.7206 0.3152 0.4546 O
6.4729 0.7516 2.9262 O
5.8782 2.0098 5.5929 O
5.6329 3.4434 1.3851 O
4.6316 5.2299 2.9262 O
4.8858 5.6626 0.4546 O
```